Tl4V3F10: simulated X-ray powder pattern (Cu Kα), based on a cell relaxed with GGA+U.
Peak positions follow from Bragg's law for the DFT cell and can differ from measured ones.

The 8 most intense peaks (2θ from 5° to 70°), low angle first:
Position (°2θ), I (rel.)
21.0, 29
29.0, 100
29.6, 57
37.7, 33
42.4, 34
48.7, 19
50.9, 17
52.2, 40

Atomic structure:
a b c (Å): 4.2653 4.2653 31.2258
angles (deg): 90.00 90.00 90.00
Space group I4/mmm (No. 139)
Asymmetric unit:
Tl  0.0000  0.0000  0.0684 x4
Tl  0.0000  0.0000  0.2046 x4
V  0.0000  0.0000  0.3624 x4
V  0.0000  0.0000  0.5000 x2
F  0.0000  0.0000  0.2948 x4
F  0.0000  0.0000  0.4314 x4
F  0.0000  0.5000  0.0000 x4
F  0.0000  0.5000  0.1376 x8